(1)
This entry pairs a crystal structure of EuGe3Ir with its theoretical powder X-ray diffraction pattern. Radiation: copper Kα. Structure: DFT lattice parameters and positions (PBE).
Neutral-atom scattering factors, no anomalous dispersion.

Structural model:
```
EuGe3Ir
1.0
4.4723 0.0000 0.0000
0.0000 4.4723 0.0000
0.0000 0.0000 10.1347
Eu Ge Ir
2 6 2
direct
0.0000 0.0000 0.0000
0.5000 0.5000 0.5000
0.0000 0.0000 0.5840
0.0000 0.5000 0.2447
0.0000 0.5000 0.7447
0.5000 0.0000 0.2447
0.5000 0.0000 0.7447
0.5000 0.5000 0.0840
0.0000 0.0000 0.3474
0.5000 0.5000 0.8474
```

Top 10 peaks for 2θ from 15° to 90°, by intensity:
- 33.24 deg, intensity 100
- 40.33 deg, intensity 84
- 33.40 deg, intensity 79
- 53.22 deg, intensity 53
- 28.22 deg, intensity 47
- 21.72 deg, intensity 35
- 68.90 deg, intensity 31
- 58.36 deg, intensity 28
- 45.89 deg, intensity 27
- 49.36 deg, intensity 27

---

(2)
This entry pairs a crystal structure of PrHg with its theoretical powder X-ray diffraction pattern. Radiation: copper Kα. Structure: DFT lattice parameters and positions (PBE).
Neutral-atom scattering factors, no anomalous dispersion.

Structural model:
```
PrHg
1.0
3.8702 0.0000 0.0000
0.0000 3.8702 0.0000
0.0000 0.0000 3.8702
Pr Hg
1 1
direct
0.0000 0.0000 0.0000
0.5000 0.5000 0.5000
```

Top 10 peaks for 2θ from 15° to 90°, by intensity:
- 32.72 deg, intensity 100
- 58.41 deg, intensity 39
- 46.96 deg, intensity 18
- 78.09 deg, intensity 17
- 68.58 deg, intensity 12
- 87.27 deg, intensity 4
- 22.98 deg, intensity 3
- 52.90 deg, intensity 2
- 40.37 deg, intensity 1
- 73.39 deg, intensity 1

---

(3)
This entry pairs a crystal structure of Rb2UPt3S6 with its theoretical powder X-ray diffraction pattern. Radiation: copper Kα. Structure: DFT lattice parameters and positions (PBE).
Neutral-atom scattering factors, no anomalous dispersion.

Structural model:
```
Rb2UPt3S6
1.0
0.0000 7.2942 8.5043
4.9048 0.0000 8.5043
4.9048 7.2942 0.0000
Rb U Pt S
4 2 6 12
direct
0.1930 0.8070 0.1930
0.2500 0.2500 0.2500
0.7500 0.7500 0.7500
0.8070 0.1930 0.8070
0.3323 0.3323 0.6677
0.6677 0.6677 0.3323
0.0038 0.6739 0.9962
0.3261 0.9962 0.6739
0.3306 0.6694 0.6694
0.6694 0.3306 0.3306
0.6739 0.0038 0.3261
0.9962 0.3261 0.0038
0.0919 0.3108 0.6892
0.0980 0.6999 0.6805
0.3001 0.9020 0.4783
0.3108 0.0919 0.9081
0.3195 0.4783 0.9020
0.4783 0.3195 0.3001
0.5217 0.6805 0.6999
0.6805 0.5217 0.0980
0.6892 0.9081 0.0919
0.6999 0.0980 0.5217
0.9020 0.3001 0.3195
0.9081 0.6892 0.3108
```

Top 10 peaks for 2θ from 15° to 90°, by intensity:
- 32.19 deg, intensity 100
- 36.72 deg, intensity 72
- 44.58 deg, intensity 67
- 24.24 deg, intensity 52
- 33.93 deg, intensity 49
- 24.41 deg, intensity 43
- 40.29 deg, intensity 31
- 56.60 deg, intensity 29
- 49.38 deg, intensity 25
- 71.44 deg, intensity 23